# 1
Structure and calculated PXRD pattern of Nd3SbSeBr (the PBE geometry in Alexandria; Cu Ka).

Principal peaks in the range 2θ from 10° to 80°, sorted by position:
2θ 26.52, 3.361 Å, I 381
2θ 26.89, 3.316 Å, I 458
2θ 28.77, 3.104 Å, I 385
2θ 29.83, 2.995 Å, I 472
2θ 30.87, 2.897 Å, I 1000
2θ 31.51, 2.839 Å, I 543
2θ 31.99, 2.798 Å, I 600
2θ 33.85, 2.648 Å, I 461
2θ 35.54, 2.526 Å, I 404
2θ 41.56, 2.173 Å, I 552

Atomic structure:
Cell: 8.2754 4.3459 10.5932 Å, 90.00 110.11 90.00°
Element x y z (fractional)
Nd (0.1801, 0.2500, 0.1096)
Nd (0.1806, 0.2500, 0.4900)
Nd (0.3139, 0.7500, 0.8307)
Nd (0.6861, 0.2500, 0.1693)
Nd (0.8194, 0.7500, 0.5100)
Nd (0.8199, 0.7500, 0.8904)
Sb (0.0082, 0.2500, 0.7448)
Sb (0.9918, 0.7500, 0.2552)
Se (0.4191, 0.7500, 0.1203)
Se (0.5809, 0.2500, 0.8797)
Br (0.4511, 0.7500, 0.6037)
Br (0.5489, 0.2500, 0.3963)

=====

# 2
Structure and calculated PXRD pattern of Sm2DyY2 (the PBE geometry in Alexandria; Cu Ka).

Principal peaks in the range 2θ from 10° to 80°, sorted by position:
2θ 15.13, 5.857 Å, I 54
2θ 28.18, 3.166 Å, I 238
2θ 31.25, 2.863 Å, I 243
2θ 32.31, 2.771 Å, I 1000
2θ 42.57, 2.123 Å, I 155
2θ 49.88, 1.828 Å, I 196
2θ 56.28, 1.634 Å, I 204
2θ 60.05, 1.541 Å, I 224
2θ 60.69, 1.526 Å, I 162
2θ 78.50, 1.218 Å, I 76

Atomic structure:
Cell: 8.5359 8.5359 6.7948 Å, 102.66 102.66 43.54°
Element x y z (fractional)
Sm (0.1148, 0.2831, 0.1488)
Sm (0.2831, 0.1148, 0.6488)
Sm (0.7169, 0.8852, 0.3512)
Sm (0.8852, 0.7169, 0.8512)
Dy (0.0818, 0.9182, 0.2500)
Dy (0.9182, 0.0818, 0.7500)
Y (0.3171, 0.4848, 0.5482)
Y (0.4848, 0.3171, 0.0482)
Y (0.5152, 0.6829, 0.9518)
Y (0.6829, 0.5152, 0.4518)

=====

# 3
Structure and calculated PXRD pattern of Mg14MnCr (the PBE geometry in Alexandria; Cu Ka).

Principal peaks in the range 2θ from 10° to 80°, sorted by position:
2θ 32.95, 2.718 Å, I 253
2θ 35.39, 2.536 Å, I 256
2θ 37.54, 2.396 Å, I 1000
2θ 49.13, 1.854 Å, I 152
2θ 58.73, 1.572 Å, I 56
2θ 58.90, 1.568 Å, I 111
2θ 64.95, 1.436 Å, I 171
2θ 70.47, 1.336 Å, I 60
2θ 70.62, 1.334 Å, I 119
2θ 71.86, 1.314 Å, I 87

Atomic structure:
Cell: 10.1449 6.2721 6.2721 Å, 60.17 90.00 90.00°
Element x y z (fractional)
Mg (0.0000, 0.9999, 0.9999)
Mg (0.0000, 0.4986, 0.9984)
Mg (0.0000, 0.5000, 0.5000)
Mg (0.0000, 0.9984, 0.4986)
Mg (0.2554, 0.3347, 0.3347)
Mg (0.2560, 0.8351, 0.8351)
Mg (0.2639, 0.3283, 0.8298)
Mg (0.2639, 0.8298, 0.3283)
Mg (0.5000, 0.9996, 0.4996)
Mg (0.5000, 0.4996, 0.9996)
Mg (0.7361, 0.3283, 0.8298)
Mg (0.7361, 0.8298, 0.3283)
Mg (0.7440, 0.8351, 0.8351)
Mg (0.7446, 0.3347, 0.3347)
Mn (0.5000, 0.9987, 0.9987)
Cr (0.5000, 0.4985, 0.4985)

=====

# 4
Structure and calculated PXRD pattern of Li3Ca2Cu12Ir (the PBE geometry in Alexandria; Cu Ka).

Principal peaks in the range 2θ from 10° to 80°, sorted by position:
2θ 22.34, 3.979 Å, I 1000
2θ 36.10, 2.488 Å, I 398
2θ 38.28, 2.351 Å, I 596
2θ 39.54, 2.279 Å, I 475
2θ 42.21, 2.141 Å, I 582
2θ 43.67, 2.073 Å, I 410
2θ 45.60, 1.989 Å, I 817
2θ 46.17, 1.966 Å, I 282
2θ 48.02, 1.895 Å, I 614
2θ 74.76, 1.270 Å, I 320

Atomic structure:
Cell: 12.7785 12.7785 12.7785 Å, 22.93 22.93 22.93°
Element x y z (fractional)
Li (0.0000, 0.5000, 0.5000)
Li (0.5000, 0.0000, 0.5000)
Li (0.5000, 0.5000, 0.0000)
Ca (0.1474, 0.1474, 0.1474)
Ca (0.8526, 0.8526, 0.8526)
Cu (0.1078, 0.1078, 0.6190)
Cu (0.1078, 0.6190, 0.1078)
Cu (0.1125, 0.6065, 0.6065)
Cu (0.3810, 0.8922, 0.8922)
Cu (0.3935, 0.3935, 0.8875)
Cu (0.3935, 0.8875, 0.3935)
Cu (0.6065, 0.1125, 0.6065)
Cu (0.6065, 0.6065, 0.1125)
Cu (0.6190, 0.1078, 0.1078)
Cu (0.8875, 0.3935, 0.3935)
Cu (0.8922, 0.3810, 0.8922)
Cu (0.8922, 0.8922, 0.3810)
Ir (0.5000, 0.5000, 0.5000)

=====

# 5
Structure and calculated PXRD pattern of Na5Bi2Au4 (the PBE geometry in Alexandria; Cu Ka).

Principal peaks in the range 2θ from 10° to 80°, sorted by position:
2θ 11.92, 7.426 Å, I 796
2θ 16.34, 5.426 Å, I 1000
2θ 23.97, 3.713 Å, I 435
2θ 29.52, 3.026 Å, I 818
2θ 33.22, 2.697 Å, I 576
2θ 35.14, 2.554 Å, I 663
2θ 38.37, 2.346 Å, I 453
2θ 41.04, 2.199 Å, I 484
2θ 41.96, 2.153 Å, I 459
2θ 46.54, 1.951 Å, I 442

Atomic structure:
Cell: 6.8940 6.8940 7.5069 Å, 97.54 97.54 52.07°
Element x y z (fractional)
Na (0.0000, 0.0000, 0.0000)
Na (0.1301, 0.6240, 0.5019)
Na (0.3760, 0.8699, 0.4981)
Na (0.6240, 0.1301, 0.5019)
Na (0.8699, 0.3760, 0.4981)
Bi (0.2960, 0.2960, 0.8544)
Bi (0.7040, 0.7040, 0.1456)
Au (0.2332, 0.2332, 0.2153)
Au (0.4726, 0.4726, 0.1934)
Au (0.5274, 0.5274, 0.8066)
Au (0.7668, 0.7668, 0.7847)

=====

# 6
Structure and calculated PXRD pattern of Sr2ZnGe4Pt3 (the PBE geometry in Alexandria; Cu Ka).

Principal peaks in the range 2θ from 10° to 80°, sorted by position:
2θ 21.86, 4.066 Å, I 427
2θ 26.50, 3.363 Å, I 333
2θ 29.86, 2.993 Å, I 301
2θ 32.91, 2.722 Å, I 908
2θ 33.48, 2.677 Å, I 955
2θ 40.83, 2.210 Å, I 1000
2θ 45.47, 1.995 Å, I 686
2θ 48.51, 1.877 Å, I 304
2θ 53.40, 1.716 Å, I 462
2θ 59.11, 1.563 Å, I 336

Atomic structure:
Cell: 4.4206 4.4206 10.3630 Å, 90.00 90.00 90.00°
Element x y z (fractional)
Sr (0.0000, 0.5000, 0.2499)
Sr (0.5000, 0.0000, 0.7501)
Zn (0.0000, 0.0000, 0.5000)
Ge (0.0000, 0.0000, 0.0000)
Ge (0.0000, 0.5000, 0.6338)
Ge (0.5000, 0.0000, 0.3662)
Ge (0.5000, 0.5000, 0.0000)
Pt (0.0000, 0.5000, 0.8783)
Pt (0.5000, 0.0000, 0.1217)
Pt (0.5000, 0.5000, 0.5000)